Starting from a cell relaxed with PBE, the powder XRD pattern of B5C7 was simulated for Cu Kα.
No peak broadening, texture or thermal motion is included.

Top 6 peaks for 5° ≤ 2θ ≤ 70°, in order of rising 2θ:
| two_theta | d/Å | I (rel.) | index |
| --- | --- | --- | --- |
| 6.05 | 14.615 | 100.0 | 0 0 1 |
| 12.11 | 7.307 | 23.5 | 0 0 2 |
| 18.21 | 4.872 | 12.4 | 0 0 3 |
| 24.36 | 3.654 | 8.0 | 0 0 4 |
| 41.57 | 2.172 | 35.0 | 0 1 2 |
| 43.34 | 2.088 | 7.3 | 0 0 7 |

Structural model:
```
data_B5C7
_chemical_formula_sum 'B5 C7'
_cell_length_a 2.6271
_cell_length_b 2.6271
_cell_length_c 14.6147
_cell_angle_alpha 90.00
_cell_angle_beta 90.00
_cell_angle_gamma 120.00
_symmetry_space_group_name_H-M 'P 3 m 1'
_symmetry_Int_Tables_number 156
loop_
_symmetry_equiv_pos_as_xyz
'x,y,z'
'-y,x-y,z'
'-x+y,-x,z'
'-y,-x,z'
'-x+y,y,z'
'x,x-y,z'
loop_
_atom_site_label
_atom_site_fract_x
_atom_site_fract_y
_atom_site_fract_z
B1 0.0000 0.0000 0.0000
B2 0.0000 0.0000 0.2478
B3 0.0000 0.0000 0.5864
B4 0.3333 0.6667 0.3628
B5 0.6667 0.3333 0.4346
C1 0.0000 0.0000 0.6964
C2 0.3333 0.6667 0.2557
C3 0.3333 0.6667 0.7316
C4 0.3333 0.6667 0.8378
C5 0.6667 0.3333 0.5386
C6 0.6667 0.3333 0.8726
C7 0.6667 0.3333 0.9854
```

---

Starting from a cell relaxed with PBE, the powder XRD pattern of B5C7 was simulated for Cu Kα.
No peak broadening, texture or thermal motion is included.

Top 6 peaks for 5° ≤ 2θ ≤ 70°, in order of rising 2θ:
| two_theta | d/Å | I (rel.) | index |
| --- | --- | --- | --- |
| 6.19 | 14.269 | 100.0 | 0 0 1 |
| 12.41 | 7.134 | 35.1 | 0 0 2 |
| 18.66 | 4.756 | 17.1 | 0 0 3 |
| 24.96 | 3.567 | 12.5 | 0 0 4 |
| 41.34 | 2.184 | 64.3 | 0 1 2 |
| 44.44 | 2.038 | 10.1 | 0 0 7 |

Structural model:
```
data_B5C7
_chemical_formula_sum 'B5 C7'
_cell_length_a 2.6489
_cell_length_b 2.6489
_cell_length_c 14.2688
_cell_angle_alpha 90.00
_cell_angle_beta 90.00
_cell_angle_gamma 120.00
_symmetry_space_group_name_H-M 'P 3 m 1'
_symmetry_Int_Tables_number 156
loop_
_symmetry_equiv_pos_as_xyz
'x,y,z'
'-y,x-y,z'
'-x+y,-x,z'
'-y,-x,z'
'-x+y,y,z'
'x,x-y,z'
loop_
_atom_site_label
_atom_site_fract_x
_atom_site_fract_y
_atom_site_fract_z
B1 0.0000 0.0000 0.0000
B2 0.0000 0.0000 0.2395
B3 0.0000 0.0000 0.6690
B4 0.3333 0.6667 0.3667
B5 0.3333 0.6667 0.8285
C1 0.0000 0.0000 0.5570
C2 0.3333 0.6667 0.2498
C3 0.3333 0.6667 0.7192
C4 0.6667 0.3333 0.4139
C5 0.6667 0.3333 0.5186
C6 0.6667 0.3333 0.8774
C7 0.6667 0.3333 0.9855
```